Diffraction record for Y3Zn11. The X-ray diffraction stick pattern is simulated, not measured: it uses DFT lattice parameters and positions (GGA-PBE) and Cu Kα X-rays.

Crystal structure
a b c (Å): 8.1424 8.1424 8.1424
angles (deg): 148.41 114.32 74.72
Fractional coordinates of all 14 atoms:
Y1 0.0000 0.0000 0.0000
Y2 0.2938 0.2938 0.0000
Y3 0.7062 0.7062 0.0000
Zn1 0.0181 0.6584 0.3597
Zn2 0.1419 0.8616 0.2803
Zn3 0.2987 0.6584 0.6403
Zn4 0.3177 0.5000 0.8177
Zn5 0.4187 0.1384 0.2803
Zn6 0.5000 0.0000 0.5000
Zn7 0.5813 0.8616 0.7197
Zn8 0.6823 0.5000 0.1823
Zn9 0.7013 0.3416 0.3597
Zn10 0.8581 0.1384 0.7197
Zn11 0.9819 0.3416 0.6403

Peak list (8 most intense, 10° ≤ 2θ ≤ 80°, by intensity)
35.4°, I 100; 40.7°, I 59; 46.5°, I 42; 39.3°, I 38; 35.8°, I 34; 34.4°, I 33; 36.6°, I 31; 41.9°, I 26